# 1
# CdI2
Theoretical XRD peak list, Cu Kα (λ = 1.5418 Å). Input: a cell relaxed with GGA-PBE.
Neutral-atom scattering factors, no anomalous dispersion.

Principal peaks in the range 15 to 90 degrees two-theta, by angle:
26.65°, I 100
28.96°, I 28
30.78°, I 30
33.86°, I 23
37.27°, I 19
39.70°, I 16
41.87°, I 52
43.55°, I 26
43.65°, I 15
50.34°, I 19
66.00°, I 22
67.48°, I 15

Cell and atoms:
```
CdI2
1.0
4.315 0.000 0.000
-2.157 3.737 0.000
0.000 0.000 60.017
Cd I
8 16
Cartesian
0.000 2.491 0.000
0.000 2.491 7.522
0.000 2.491 22.499
0.000 2.491 45.027
2.157 1.246 15.019
2.157 1.246 30.008
2.157 1.246 37.531
2.157 1.246 52.507
0.000 0.000 1.731
0.000 0.000 9.252
0.000 0.000 16.748
0.000 0.000 24.230
0.000 0.000 31.740
0.000 0.000 39.260
0.000 0.000 46.757
0.000 0.000 54.238
0.000 2.491 13.288
0.000 2.491 28.278
0.000 2.491 35.799
0.000 2.491 50.778
2.157 1.246 5.791
2.157 1.246 20.770
2.157 1.246 43.297
2.157 1.246 58.287
```

# 2
# Cd2I3
Theoretical XRD peak list, Cu Kα (λ = 1.5418 Å). Input: a cell relaxed with GGA-PBE.
Neutral-atom scattering factors, no anomalous dispersion.

Principal peaks in the range 15 to 90 degrees two-theta, by angle:
15.57°, I 21
20.93°, I 14
26.21°, I 100
33.76°, I 82
40.76°, I 52
43.82°, I 25
49.11°, I 17
49.56°, I 11
53.93°, I 21
65.66°, I 14
66.04°, I 25
69.74°, I 18

Cell and atoms:
```
Cd2I3
1.0
3.834 2.214 7.358
-3.834 2.214 7.358
0.000 -4.427 7.358
Cd I
4 6
Cartesian
0.000 0.000 3.526
0.000 0.000 7.511
0.000 0.000 14.563
0.000 0.000 18.548
-2.598 -0.073 9.198
-1.236 -2.286 12.877
1.362 -2.214 9.198
-1.362 2.214 12.877
1.236 2.286 9.198
2.598 0.073 12.877
```

# 3
# CdI2
Theoretical XRD peak list, Cu Kα (λ = 1.5418 Å). Input: a cell relaxed with GGA-PBE.
Neutral-atom scattering factors, no anomalous dispersion.

Principal peaks in the range 15 to 90 degrees two-theta, by angle:
26.63°, I 100
28.65°, I 27
31.06°, I 28
33.80°, I 28
36.80°, I 21
40.02°, I 14
41.87°, I 50
43.43°, I 27
43.64°, I 14
50.32°, I 17
65.85°, I 21
67.47°, I 14

Cell and atoms:
```
CdI2
1.0
4.315 0.000 0.000
-2.158 3.737 0.000
0.000 0.000 22.587
Cd I
3 6
Cartesian
0.000 0.000 0.000
0.000 0.000 7.525
2.158 1.246 15.056
0.000 0.000 13.327
0.000 2.491 1.729
0.000 2.491 9.254
0.000 2.491 16.787
2.158 1.246 5.795
2.158 1.246 20.857
```

# 4
# CdI2
Theoretical XRD peak list, Cu Kα (λ = 1.5418 Å). Input: a cell relaxed with GGA-PBE.
Neutral-atom scattering factors, no anomalous dispersion.

Principal peaks in the range 15 to 90 degrees two-theta, by angle:
25.65°, I 14
26.64°, I 100
27.80°, I 29
29.12°, I 16
30.58°, I 38
33.85°, I 18
37.50°, I 23
41.86°, I 62
43.53°, I 25
43.64°, I 18
50.31°, I 17
65.97°, I 27

Cell and atoms:
```
CdI2
1.0
4.316 0.000 0.000
-2.158 3.738 0.000
0.000 0.000 37.527
Cd I
5 10
Cartesian
0.000 0.000 0.000
0.000 0.000 15.013
0.000 0.000 22.514
0.000 2.492 7.505
2.158 1.246 30.022
0.000 0.000 9.235
0.000 0.000 28.293
0.000 2.492 1.729
0.000 2.492 16.742
0.000 2.492 24.244
0.000 2.492 31.751
2.158 1.246 5.776
2.158 1.246 13.283
2.158 1.246 20.785
2.158 1.246 35.798
```

# 5
# CdI2
Theoretical XRD peak list, Cu Kα (λ = 1.5418 Å). Input: a cell relaxed with GGA-PBE.
Neutral-atom scattering factors, no anomalous dispersion.

Principal peaks in the range 15 to 90 degrees two-theta, by angle:
25.44°, I 18
26.65°, I 100
28.13°, I 31
31.76°, I 33
33.86°, I 23
36.10°, I 26
40.96°, I 15
41.86°, I 52
43.54°, I 26
43.64°, I 15
50.32°, I 17
65.99°, I 22

Cell and atoms:
```
CdI2
1.0
4.316 0.000 0.000
-2.158 3.738 0.000
0.000 0.000 30.009
Cd I
4 8
Cartesian
0.000 2.492 0.000
0.000 2.492 7.500
2.158 1.246 15.005
2.158 1.246 22.505
0.000 0.000 1.730
0.000 0.000 9.230
0.000 0.000 16.734
0.000 0.000 24.234
0.000 2.492 13.275
0.000 2.492 20.775
2.158 1.246 5.770
2.158 1.246 28.279
```

# 6
# Cd4I5
Theoretical XRD peak list, Cu Kα (λ = 1.5418 Å). Input: a cell relaxed with GGA-PBE.
Neutral-atom scattering factors, no anomalous dispersion.

Principal peaks in the range 15 to 90 degrees two-theta, by angle:
21.21°, I 71
30.19°, I 100
40.31°, I 20
43.20°, I 48
45.98°, I 27
53.09°, I 6
60.55°, I 11
62.75°, I 19
67.06°, I 14
75.27°, I 12
81.19°, I 5
87.05°, I 6

Cell and atoms:
```
Cd4I5
1.0
-4.747 4.747 4.190
4.747 -4.747 4.190
4.747 4.747 -4.190
Cd I
4 5
Cartesian
3.278 0.000 0.000
6.215 0.000 0.000
0.000 3.278 0.000
0.000 6.215 0.000
0.000 0.000 0.000
2.891 2.891 0.000
1.856 -1.856 4.190
-1.856 1.856 4.190
1.856 1.856 4.190
```